No. 1
Calculated powder XRD pattern of GdHoCS for copper Kα, from a structure optimized by DFT (PBE).

Largest 8 diffraction maxima, sorted by position, 10 to 90 degrees two-theta:
h k l	2θ (°)	d [Å]	I (rel.)
0 0 4	27.53	3.240	20
1 0 0	27.71	3.219	31
1 0 1	28.57	3.124	40
1 0 3	34.75	2.581	100
1 1 0	49.01	1.859	31
1 1 4	57.15	1.612	21
1 0 7	57.42	1.605	18
0 2 3	61.47	1.508	19

Cell: 3.717 3.717 12.960 Å, 90.00 90.00 120.00°
Atoms (fractional coordinates):
1 Gd 0.333 0.667 0.394
2 Gd 0.667 0.333 0.606
3 Ho 0.333 0.667 0.102
4 Ho 0.667 0.333 0.898
5 C 0.000 0.000 0.000
6 C 0.000 0.000 0.500
7 S 0.333 0.667 0.754
8 S 0.667 0.333 0.246

---

No. 2
Calculated powder XRD pattern of PrGeAsO for copper Kα, from a structure optimized by DFT (PBE).

Largest 8 diffraction maxima, sorted by position, 10 to 90 degrees two-theta:
h k l	2θ (°)	d [Å]	I (rel.)
1 0 2	28.57	3.125	100
1 1 0	29.89	2.990	19
1 1 1	31.44	2.845	37
1 1 2	35.73	2.513	29
1 0 3	35.98	2.496	29
2 0 0	42.78	2.114	43
1 1 4	49.76	1.833	29
2 1 2	52.25	1.751	37

Cell: 4.228 4.228 9.278 Å, 90.00 90.00 90.00°
Atoms (fractional coordinates):
1 Pr 0.250 0.250 0.120
2 Pr 0.750 0.750 0.880
3 Ge 0.250 0.750 0.500
4 Ge 0.750 0.250 0.500
5 As 0.250 0.250 0.691
6 As 0.750 0.750 0.309
7 O 0.250 0.750 0.000
8 O 0.750 0.250 0.000